Structure and calculated X-ray powder pattern of Eu4B4O11F2 (DFT lattice parameters and positions (GGA-PBE); copper Kα).
No peak broadening, texture or thermal motion is included.

Most intense lines, 10° ≤ 2θ ≤ 80°, sorted by position:
| Position (°2θ) | Rel. int. |
| --- | --- |
| 19.8 | 68 |
| 25.5 | 83 |
| 28.4 | 42 |
| 28.7 | 40 |
| 29.7 | 100 |
| 29.9 | 99 |
| 32.5 | 40 |
| 38.0 | 39 |
| 46.4 | 54 |
| 48.1 | 58 |

Crystal structure
```
Eu4B4O11F2
1.0
6.995 -2.367 0.000
6.995 2.367 0.000
-0.228 0.000 13.943
Eu B O F
8 8 22 4
direct
0.044 0.078 0.372
0.078 0.044 0.872
0.205 0.239 0.127
0.239 0.205 0.627
0.761 0.795 0.373
0.795 0.761 0.873
0.922 0.956 0.128
0.956 0.922 0.628
0.361 0.449 0.474
0.382 0.436 0.788
0.436 0.382 0.288
0.449 0.361 0.974
0.551 0.639 0.026
0.564 0.618 0.712
0.618 0.564 0.212
0.639 0.551 0.526
0.092 0.751 0.465
0.128 0.674 0.276
0.150 0.508 0.743
0.249 0.908 0.035
0.283 0.541 0.893
0.326 0.872 0.224
0.327 0.447 0.063
0.350 0.650 0.750
0.447 0.327 0.563
0.459 0.717 0.607
0.492 0.850 0.757
0.508 0.150 0.243
0.541 0.283 0.393
0.553 0.673 0.437
0.650 0.350 0.250
0.673 0.553 0.937
0.674 0.128 0.776
0.717 0.459 0.107
0.751 0.092 0.965
0.850 0.492 0.257
0.872 0.326 0.724
0.908 0.249 0.535
0.206 0.255 0.425
0.255 0.206 0.925
0.745 0.794 0.075
0.794 0.745 0.575
```


Structure and calculated X-ray powder pattern of CsTbF5 (DFT lattice parameters and positions (GGA-PBE); copper Kα).
No peak broadening, texture or thermal motion is included.

Most intense lines, 10° ≤ 2θ ≤ 80°, sorted by position:
| Position (°2θ) | Rel. int. |
| --- | --- |
| 12.0 | 18 |
| 23.4 | 52 |
| 24.2 | 100 |
| 26.4 | 16 |
| 29.7 | 29 |
| 33.9 | 23 |
| 44.3 | 24 |
| 45.7 | 47 |
| 47.8 | 14 |
| 49.0 | 16 |

Crystal structure
```
CsTbF5
1.0
7.346 -4.257 0.000
7.346 4.257 0.000
0.000 0.000 8.519
Cs Tb F
4 4 20
direct
0.204 0.204 0.000
0.296 0.296 0.500
0.704 0.704 0.500
0.796 0.796 0.000
0.160 0.840 0.660
0.340 0.660 0.160
0.660 0.340 0.840
0.840 0.160 0.340
0.057 0.646 0.702
0.073 0.927 0.208
0.093 0.093 0.500
0.146 0.557 0.202
0.208 0.792 0.926
0.292 0.708 0.426
0.354 0.943 0.702
0.407 0.407 0.000
0.427 0.573 0.708
0.443 0.854 0.202
0.557 0.146 0.798
0.573 0.427 0.292
0.593 0.593 0.000
0.646 0.057 0.298
0.708 0.292 0.574
0.792 0.208 0.074
0.854 0.443 0.798
0.907 0.907 0.500
0.927 0.073 0.792
0.943 0.354 0.298
```


Structure and calculated X-ray powder pattern of MnZnGa4Se8 (DFT lattice parameters and positions (GGA-PBE); copper Kα).
No peak broadening, texture or thermal motion is included.

Most intense lines, 10° ≤ 2θ ≤ 80°, sorted by position:
| Position (°2θ) | Rel. int. |
| --- | --- |
| 17.6 | 7 |
| 27.5 | 100 |
| 36.4 | 6 |
| 45.3 | 24 |
| 45.9 | 45 |
| 53.9 | 29 |
| 54.8 | 13 |
| 66.1 | 7 |
| 73.0 | 6 |
| 73.8 | 10 |

Crystal structure
```
MnZnGa4Se8
1.0
3.999 -5.532 0.000
3.999 5.532 0.000
-0.001 0.000 8.001
Mn Zn Ga Se
1 1 4 8
direct
0.000 0.000 0.000
0.500 0.500 0.500
0.000 0.000 0.500
0.000 0.500 0.750
0.500 0.000 0.250
0.500 0.500 0.000
0.356 0.622 0.247
0.378 0.644 0.753
0.380 0.114 0.511
0.389 0.121 0.989
0.855 0.122 0.745
0.878 0.145 0.255
0.879 0.611 0.011
0.886 0.620 0.489
```


Structure and calculated X-ray powder pattern of Ag8GeTe6 (DFT lattice parameters and positions (GGA-PBE); copper Kα).
No peak broadening, texture or thermal motion is included.

Most intense lines, 10° ≤ 2θ ≤ 80°, sorted by position:
| Position (°2θ) | Rel. int. |
| --- | --- |
| 21.4 | 24 |
| 25.8 | 100 |
| 31.0 | 23 |
| 32.9 | 28 |
| 33.5 | 31 |
| 36.9 | 44 |
| 39.1 | 67 |
| 40.0 | 25 |
| 41.2 | 42 |
| 44.5 | 30 |

Crystal structure
```
Ag8GeTe6
1.0
8.154 0.000 0.000
3.629 7.316 0.000
3.885 2.457 6.913
Ag Ge Te
8 1 6
direct
0.000 0.000 0.000
0.046 0.372 0.349
0.198 0.203 0.033
0.249 0.620 0.556
0.336 0.004 0.364
0.564 0.873 0.608
0.647 0.207 0.558
0.905 0.545 0.644
0.724 0.722 0.044
0.105 0.613 0.951
0.229 0.203 0.632
0.571 0.564 0.963
0.617 0.099 0.956
0.637 0.603 0.425
0.975 0.950 0.371
```


Structure and calculated X-ray powder pattern of LaSnF7 (DFT lattice parameters and positions (GGA-PBE); copper Kα).
No peak broadening, texture or thermal motion is included.

Most intense lines, 10° ≤ 2θ ≤ 80°, sorted by position:
| Position (°2θ) | Rel. int. |
| --- | --- |
| 20.9 | 100 |
| 21.4 | 40 |
| 22.0 | 13 |
| 25.0 | 18 |
| 26.3 | 12 |
| 27.6 | 30 |
| 30.4 | 14 |
| 42.3 | 20 |
| 45.9 | 15 |
| 48.8 | 12 |

Crystal structure
```
LaSnF7
1.0
9.391 0.000 0.000
0.000 5.872 0.000
-5.897 0.000 11.144
La Sn F
4 4 28
direct
0.189 0.242 0.265
0.189 0.258 0.765
0.811 0.742 0.235
0.811 0.758 0.735
0.274 0.744 0.043
0.274 0.756 0.543
0.726 0.244 0.457
0.726 0.256 0.957
0.031 0.585 0.733
0.031 0.915 0.233
0.034 0.740 0.948
0.034 0.760 0.448
0.257 0.547 0.167
0.257 0.953 0.667
0.269 0.016 0.137
0.269 0.484 0.637
0.285 0.037 0.456
0.285 0.463 0.956
0.291 0.553 0.422
0.291 0.947 0.922
0.487 0.234 0.361
0.487 0.266 0.861
0.513 0.734 0.139
0.513 0.766 0.639
0.709 0.053 0.078
0.709 0.447 0.578
0.715 0.537 0.044
0.715 0.963 0.544
0.731 0.516 0.363
0.731 0.984 0.863
0.743 0.047 0.333
0.743 0.453 0.833
0.966 0.240 0.552
0.966 0.260 0.052
0.969 0.085 0.767
0.969 0.415 0.267
```


Structure and calculated X-ray powder pattern of BaNpO4 (DFT lattice parameters and positions (GGA-PBE); copper Kα).
No peak broadening, texture or thermal motion is included.

Most intense lines, 10° ≤ 2θ ≤ 80°, sorted by position:
| Position (°2θ) | Rel. int. |
| --- | --- |
| 15.2 | 19 |
| 26.4 | 100 |
| 26.6 | 86 |
| 30.6 | 29 |
| 30.7 | 54 |
| 43.9 | 59 |
| 51.9 | 32 |
| 52.0 | 29 |
| 52.3 | 18 |
| 70.3 | 18 |

Crystal structure
```
BaNpO4
1.0
5.848 0.000 0.000
0.000 8.191 0.000
0.000 0.000 8.259
Ba Np O
4 4 16
direct
0.023 0.197 0.250
0.023 0.303 0.750
0.977 0.697 0.250
0.977 0.803 0.750
0.500 0.000 0.000
0.500 0.000 0.500
0.500 0.500 0.000
0.500 0.500 0.500
0.207 0.575 0.569
0.207 0.575 0.931
0.207 0.925 0.069
0.207 0.925 0.431
0.357 0.250 0.000
0.357 0.250 0.500
0.383 0.525 0.250
0.383 0.975 0.750
0.617 0.025 0.250
0.617 0.475 0.750
0.643 0.750 0.000
0.643 0.750 0.500
0.793 0.075 0.569
0.793 0.075 0.931
0.793 0.425 0.069
0.793 0.425 0.431
```